Starting from DFT lattice parameters and positions (PBE+U), the X-ray diffraction stick pattern of BaCaMnO4 was simulated for Cu Kα, 1.54184 Å.

Largest 10 diffraction maxima, by angle, 5° ≤ 2θ ≤ 70°:
17.10°, I 25
19.77°, I 52
28.11°, I 100
33.09°, I 23
34.60°, I 18
45.16°, I 19
49.74°, I 38
58.11°, I 18
62.01°, I 10
65.77°, I 16

Cell and atoms:
```
7
Lattice="0.0000 4.4898 4.4898 4.4898 0.0000 4.4898 4.4898 4.4898 0.0000" Properties=species:S:1:pos:R:3 pbc="T T T"
Ba 0.0000 0.0000 0.0000
Ca 6.7346 6.7346 6.7346
Mn 4.4898 4.4898 4.4898
O 5.5191 3.4604 3.4604
O 3.4604 5.5191 3.4604
O 3.4604 3.4604 5.5191
O 5.5191 5.5191 5.5191
```

Starting from DFT lattice parameters and positions (PBE+U), the X-ray diffraction stick pattern of Ba7Ca2Mn5O20 was simulated for Cu Kα, 1.54184 Å.

Largest 10 diffraction maxima, by angle, 5° ≤ 2θ ≤ 70°:
5.07°, I 16
22.08°, I 11
28.24°, I 72
30.27°, I 100
37.78°, I 13
41.88°, I 42
48.67°, I 13
52.54°, I 25
53.78°, I 19
62.96°, I 18

Cell and atoms:
```
34
Lattice="2.9525 1.7046 17.4153 -2.9525 1.7046 17.4153 0.0000 -3.4093 17.4153" Properties=species:S:1:pos:R:3 pbc="T T T"
Ba 0.0000 0.0000 0.0000
Ba 0.0000 0.0000 7.5972
Ba 0.0000 0.0000 11.8512
Ba 0.0000 0.0000 20.2683
Ba 0.0000 0.0000 31.9776
Ba 0.0000 0.0000 40.3948
Ba 0.0000 0.0000 44.6487
Ca 0.0000 0.0000 3.8924
Ca 0.0000 0.0000 48.3535
Mn 0.0000 0.0000 15.8275
Mn 0.0000 0.0000 23.5384
Mn 0.0000 0.0000 26.1230
Mn 0.0000 0.0000 28.7076
Mn 0.0000 0.0000 36.4184
O 0.0000 -1.6193 15.2110
O -1.4024 0.8097 15.2110
O -1.2982 -0.7495 24.8982
O -1.3610 -0.7858 29.7479
O 0.0000 -1.5715 22.4981
O -1.3610 0.7857 22.4981
O 0.0000 0.0000 17.5110
O 0.0000 -1.4990 27.3477
O -1.2982 0.7495 27.3477
O -1.4024 -0.8097 37.0350
O 1.4024 0.8097 15.2109
O 1.2982 -0.7495 24.8982
O 0.0000 1.4990 24.8982
O 0.0000 0.0000 34.7349
O 1.3610 -0.7858 29.7479
O 0.0000 1.5715 29.7479
O 1.3610 0.7858 22.4980
O 1.2982 0.7495 27.3478
O 1.4024 -0.8097 37.0350
O 0.0000 1.6193 37.0350
```

Starting from DFT lattice parameters and positions (PBE+U), the X-ray diffraction stick pattern of BaCaMnWO6 was simulated for Cu Kα, 1.54184 Å.

Largest 10 diffraction maxima, by angle, 5° ≤ 2θ ≤ 70°:
18.72°, I 39
21.65°, I 8
30.80°, I 100
36.29°, I 21
44.12°, I 33
48.32°, I 9
54.77°, I 39
58.41°, I 8
64.17°, I 20
67.49°, I 8

Cell and atoms:
```
10
Lattice="0.0000 4.1052 4.1052 4.1052 0.0000 4.1052 4.1052 4.1052 0.0000" Properties=species:S:1:pos:R:3 pbc="T T T"
Ba 0.0000 0.0000 0.0000
Ca 4.1052 4.1052 4.1052
Mn 2.0526 2.0526 2.0526
W 6.1578 6.1578 6.1578
O 6.1578 6.1578 4.2075
O 6.1578 4.2075 6.1578
O 8.1080 6.1578 6.1578
O 4.2075 6.1578 6.1578
O 6.1578 8.1080 6.1578
O 6.1578 6.1578 8.1080
```

Starting from DFT lattice parameters and positions (PBE+U), the X-ray diffraction stick pattern of BaSr3Ca2Mo2O12 was simulated for Cu Kα, 1.54184 Å.

Largest 10 diffraction maxima, by angle, 5° ≤ 2θ ≤ 70°:
18.35°, I 17
29.89°, I 100
30.25°, I 100
37.20°, I 14
43.04°, I 70
52.84°, I 18
53.51°, I 38
53.73°, I 19
62.10°, I 19
62.91°, I 21

Cell and atoms:
```
20
Lattice="2.9548 1.7059 9.8205 -2.9548 1.7059 9.8205 0.0000 -3.4119 9.8205" Properties=species:S:1:pos:R:3 pbc="T T T"
Ba 0.0000 0.0000 0.0000
Sr 0.0000 0.0000 7.4607
Sr 0.0000 0.0000 14.8718
Sr 0.0000 0.0000 22.3545
Ca 0.0000 0.0000 11.0205
Ca 0.0000 0.0000 25.7450
Mo 0.0000 0.0000 3.6235
Mo 0.0000 0.0000 18.3350
O 0.0000 -1.6111 4.7068
O -1.3953 0.8056 4.7068
O 0.0000 -1.8381 12.2976
O -1.5918 0.9190 12.2976
O -1.3431 -0.7754 17.1398
O 1.3953 0.8056 4.7068
O 0.0000 -1.6213 19.3804
O -1.4041 0.8107 19.3804
O 1.3431 -0.7754 17.1398
O 0.0000 1.5508 17.1398
O 1.5918 0.9190 12.2976
O 1.4041 0.8107 19.3804
```

Starting from DFT lattice parameters and positions (PBE+U), the X-ray diffraction stick pattern of BaSrCaMoO6 was simulated for Cu Kα, 1.54184 Å.

Largest 10 diffraction maxima, by angle, 5° ≤ 2θ ≤ 70°:
18.23°, I 14
29.98°, I 100
35.31°, I 5
36.94°, I 11
42.92°, I 35
46.99°, I 2
53.23°, I 39
56.75°, I 3
62.31°, I 21
65.51°, I 2

Cell and atoms:
```
10
Lattice="0.0000 4.2148 4.2148 4.2148 0.0000 4.2148 4.2148 4.2148 0.0000" Properties=species:S:1:pos:R:3 pbc="T T T"
Ba 0.0000 0.0000 0.0000
Sr 4.2148 4.2148 4.2148
Ca 2.1074 2.1074 2.1074
Mo 6.3222 6.3222 6.3222
O 6.3222 6.3222 4.3762
O 6.3222 4.3762 6.3222
O 8.2682 6.3222 6.3222
O 4.3762 6.3222 6.3222
O 6.3222 8.2682 6.3222
O 6.3222 6.3222 8.2682
```